# 1
Calculated XRD peak list
Compound: La2Nd
Radiation: Cu Kα
Structure: a crystal structure in Alexandria, relaxed with PBE
Neutral-atom scattering factors, no anomalous dispersion.

The 10 most intense peaks (10 to 80 degrees two-theta), by angle:
- hkl 1 0 4, d 3.140, rel. 28
- hkl 0 0 18, d 3.036, rel. 50
- hkl 1 0 7, d 2.982, rel. 100
- hkl 0 1 11, d 2.706, rel. 73
- hkl 0 1 14, d 2.487, rel. 17
- hkl 1 1 0, d 1.863, rel. 36
- hkl 1 0 25, d 1.810, rel. 24
- hkl 0 1 29, d 1.627, rel. 15
- hkl 1 1 18, d 1.588, rel. 43
- hkl 0 2 7, d 1.580, rel. 15

Crystal structure
```
data_La2Nd
_chemical_formula_sum 'La12 Nd6'
_cell_length_a 3.7255
_cell_length_b 3.7255
_cell_length_c 54.6463
_cell_angle_alpha 90.00
_cell_angle_beta 90.00
_cell_angle_gamma 120.00
_symmetry_space_group_name_H-M 'R -3 m'
_symmetry_Int_Tables_number 166
_symmetry_space_group_name_Hall '-R 3 2"'
loop_
_atom_site_label
_atom_site_type_symbol
_atom_site_fract_x
_atom_site_fract_y
_atom_site_fract_z
La1 La 0.0000 0.0000 0.1386
La2 La 0.0000 0.0000 0.3049
Nd1 Nd 0.0000 0.0000 0.4169
```

# 2
Calculated XRD peak list
Compound: La3As2ClO7
Radiation: Cu Kα
Structure: a crystal structure in Alexandria, relaxed with PBE
Neutral-atom scattering factors, no anomalous dispersion.

The 10 most intense peaks (10 to 80 degrees two-theta), by angle:
- hkl 3 1 1, d 3.340, rel. 100
- hkl 3 2 1, d 3.056, rel. 82
- hkl 4 2 0, d 2.929, rel. 18
- hkl 0 0 2, d 2.824, rel. 39
- hkl 4 1 1, d 2.769, rel. 43
- hkl 5 2 0, d 2.433, rel. 31
- hkl 4 2 2, d 2.033, rel. 29
- hkl 5 2 2, d 1.843, rel. 23
- hkl 5 5 1, d 1.760, rel. 27
- hkl 3 1 3, d 1.714, rel. 17

Crystal structure
```
data_La3As2ClO7
_chemical_formula_sum 'La12 As8 Cl4 O28'
_cell_length_a 13.1011
_cell_length_b 13.1011
_cell_length_c 5.6474
_cell_angle_alpha 90.00
_cell_angle_beta 90.00
_cell_angle_gamma 90.00
_symmetry_space_group_name_H-M 'P 42/m n m'
_symmetry_Int_Tables_number 136
_symmetry_space_group_name_Hall '-P 4n 2n'
loop_
_atom_site_label
_atom_site_type_symbol
_atom_site_fract_x
_atom_site_fract_y
_atom_site_fract_z
La1 La 0.0521 0.3636 0.0000
La2 La 0.2310 0.7690 0.0000
As1 As 0.0205 0.7914 0.5000
Cl1 Cl 0.1671 0.1671 0.0000
O1 O 0.0000 0.5000 0.2500
O2 O 0.0849 0.7226 0.2619
O3 O 0.0894 0.2887 0.5000
```

# 3
Calculated XRD peak list
Compound: NdNpSe3
Radiation: Cu Kα
Structure: a crystal structure in Alexandria, relaxed with PBE
Neutral-atom scattering factors, no anomalous dispersion.

The 10 most intense peaks (10 to 80 degrees two-theta), by angle:
- hkl 1 1 1, d 3.573, rel. 100
- hkl 0 1 3, d 3.287, rel. 24
- hkl 2 0 4, d 2.795, rel. 35
- hkl 2 1 2, d 2.675, rel. 61
- hkl 0 1 5, d 2.549, rel. 38
- hkl 2 1 3, d 2.508, rel. 28
- hkl 1 1 5, d 2.422, rel. 43
- hkl 3 1 1, d 2.176, rel. 32
- hkl 0 2 0, d 2.076, rel. 36
- hkl 3 1 3, d 2.033, rel. 23

Crystal structure
```
data_NdNpSe3
_chemical_formula_sum 'Nd4 Np4 Se12'
_cell_length_a 7.7595
_cell_length_b 4.1516
_cell_length_c 16.1458
_cell_angle_alpha 90.00
_cell_angle_beta 90.00
_cell_angle_gamma 90.00
_symmetry_space_group_name_H-M 'P n m a'
_symmetry_Int_Tables_number 62
loop_
_symmetry_equiv_pos_as_xyz
'x,y,z'
'-x,-y,-z'
'-x+1/2,-y,z+1/2'
'x+1/2,y,-z+1/2'
'x+1/2,-y+1/2,-z+1/2'
'-x+1/2,y+1/2,z+1/2'
'-x,y+1/2,-z'
'x,-y+1/2,z'
loop_
_atom_site_label
_atom_site_type_symbol
_atom_site_fract_x
_atom_site_fract_y
_atom_site_fract_z
Nd1 Nd 0.1290 0.2500 0.2045
Np1 Np 0.2342 0.7500 0.4608
Se1 Se 0.0093 0.2500 0.3955
Se2 Se 0.1250 0.7500 0.0663
Se3 Se 0.1565 0.2500 0.7837
```

What did the third record say?
Calculated XRD peak list
Compound: NdNpSe3
Radiation: Cu Kα
Structure: a crystal structure in Alexandria, relaxed with PBE
Neutral-atom scattering factors, no anomalous dispersion.

The 10 most intense peaks (10 to 80 degrees two-theta), by angle:
- hkl 1 1 1, d 3.573, rel. 100
- hkl 0 1 3, d 3.287, rel. 24
- hkl 2 0 4, d 2.795, rel. 35
- hkl 2 1 2, d 2.675, rel. 61
- hkl 0 1 5, d 2.549, rel. 38
- hkl 2 1 3, d 2.508, rel. 28
- hkl 1 1 5, d 2.422, rel. 43
- hkl 3 1 1, d 2.176, rel. 32
- hkl 0 2 0, d 2.076, rel. 36
- hkl 3 1 3, d 2.033, rel. 23

Crystal structure
```
data_NdNpSe3
_chemical_formula_sum 'Nd4 Np4 Se12'
_cell_length_a 7.7595
_cell_length_b 4.1516
_cell_length_c 16.1458
_cell_angle_alpha 90.00
_cell_angle_beta 90.00
_cell_angle_gamma 90.00
_symmetry_space_group_name_H-M 'P n m a'
_symmetry_Int_Tables_number 62
loop_
_symmetry_equiv_pos_as_xyz
'x,y,z'
'-x,-y,-z'
'-x+1/2,-y,z+1/2'
'x+1/2,y,-z+1/2'
'x+1/2,-y+1/2,-z+1/2'
'-x+1/2,y+1/2,z+1/2'
'-x,y+1/2,-z'
'x,-y+1/2,z'
loop_
_atom_site_label
_atom_site_type_symbol
_atom_site_fract_x
_atom_site_fract_y
_atom_site_fract_z
Nd1 Nd 0.1290 0.2500 0.2045
Np1 Np 0.2342 0.7500 0.4608
Se1 Se 0.0093 0.2500 0.3955
Se2 Se 0.1250 0.7500 0.0663
Se3 Se 0.1565 0.2500 0.7837
```

Copy entry 3 word for word.
Calculated XRD peak list
Compound: NdNpSe3
Radiation: Cu Kα
Structure: a crystal structure in Alexandria, relaxed with PBE
Neutral-atom scattering factors, no anomalous dispersion.

The 10 most intense peaks (10 to 80 degrees two-theta), by angle:
- hkl 1 1 1, d 3.573, rel. 100
- hkl 0 1 3, d 3.287, rel. 24
- hkl 2 0 4, d 2.795, rel. 35
- hkl 2 1 2, d 2.675, rel. 61
- hkl 0 1 5, d 2.549, rel. 38
- hkl 2 1 3, d 2.508, rel. 28
- hkl 1 1 5, d 2.422, rel. 43
- hkl 3 1 1, d 2.176, rel. 32
- hkl 0 2 0, d 2.076, rel. 36
- hkl 3 1 3, d 2.033, rel. 23

Crystal structure
```
data_NdNpSe3
_chemical_formula_sum 'Nd4 Np4 Se12'
_cell_length_a 7.7595
_cell_length_b 4.1516
_cell_length_c 16.1458
_cell_angle_alpha 90.00
_cell_angle_beta 90.00
_cell_angle_gamma 90.00
_symmetry_space_group_name_H-M 'P n m a'
_symmetry_Int_Tables_number 62
loop_
_symmetry_equiv_pos_as_xyz
'x,y,z'
'-x,-y,-z'
'-x+1/2,-y,z+1/2'
'x+1/2,y,-z+1/2'
'x+1/2,-y+1/2,-z+1/2'
'-x+1/2,y+1/2,z+1/2'
'-x,y+1/2,-z'
'x,-y+1/2,z'
loop_
_atom_site_label
_atom_site_type_symbol
_atom_site_fract_x
_atom_site_fract_y
_atom_site_fract_z
Nd1 Nd 0.1290 0.2500 0.2045
Np1 Np 0.2342 0.7500 0.4608
Se1 Se 0.0093 0.2500 0.3955
Se2 Se 0.1250 0.7500 0.0663
Se3 Se 0.1565 0.2500 0.7837
```

Copy entry 1 word for word.
Calculated XRD peak list
Compound: La2Nd
Radiation: Cu Kα
Structure: a crystal structure in Alexandria, relaxed with PBE
Neutral-atom scattering factors, no anomalous dispersion.

The 10 most intense peaks (10 to 80 degrees two-theta), by angle:
- hkl 1 0 4, d 3.140, rel. 28
- hkl 0 0 18, d 3.036, rel. 50
- hkl 1 0 7, d 2.982, rel. 100
- hkl 0 1 11, d 2.706, rel. 73
- hkl 0 1 14, d 2.487, rel. 17
- hkl 1 1 0, d 1.863, rel. 36
- hkl 1 0 25, d 1.810, rel. 24
- hkl 0 1 29, d 1.627, rel. 15
- hkl 1 1 18, d 1.588, rel. 43
- hkl 0 2 7, d 1.580, rel. 15

Crystal structure
```
data_La2Nd
_chemical_formula_sum 'La12 Nd6'
_cell_length_a 3.7255
_cell_length_b 3.7255
_cell_length_c 54.6463
_cell_angle_alpha 90.00
_cell_angle_beta 90.00
_cell_angle_gamma 120.00
_symmetry_space_group_name_H-M 'R -3 m'
_symmetry_Int_Tables_number 166
_symmetry_space_group_name_Hall '-R 3 2"'
loop_
_atom_site_label
_atom_site_type_symbol
_atom_site_fract_x
_atom_site_fract_y
_atom_site_fract_z
La1 La 0.0000 0.0000 0.1386
La2 La 0.0000 0.0000 0.3049
Nd1 Nd 0.0000 0.0000 0.4169
```